Simulated powder diffractogram
Compound: ScTe2AuSe
Radiation: Cu Ka
Structure: a cell relaxed with PBE

Principal peaks in the range 2θ from 15° to 90°, by angle:
hkl	2θ (°)	I_rel
0 0 1	16.53	100
1 0 1	23.48	65
0 0 2	33.36	39
2 0 0	33.52	77
2 0 1	37.59	45
2 1 1	41.33	31
2 0 2	48.02	56
2 2 2	59.83	29

```
ScTe2AuSe
1.0
5.347 0.000 0.000
0.000 5.347 0.000
0.000 0.000 5.371
Sc Te Au Se
1 2 1 1
Direct
0.000 0.000 0.000
0.000 0.500 0.500
0.500 0.000 0.500
0.000 0.000 0.500
0.500 0.500 0.000
```